This entry pairs a crystal structure of ErW4O12 with its simulated X-ray powder pattern. Radiation: CuKα. Structure: a PBE+U-relaxed structure.
Intensities are scaled so that the largest is 100.

Structural model:
abc: 7.5103 7.8169 7.8307
angles: 90.00 90.00 90.00
Space group Immm (No. 71)
One atom of each set of equivalent atoms:
Er 0.0000 0.0000 0.0000 [2 per cell]
W 0.2500 0.2500 0.2500 [8 per cell]
O 0.0000 0.2964 0.2934 [8 per cell]
O 0.1915 0.2386 0.0000 [8 per cell]
O 0.1919 0.0000 0.2425 [8 per cell]

The 10 most intense peaks (15° ≤ 2θ ≤ 90°), sorted by position:
two_theta  Rel. int.
16.36  24
22.73  71
23.69  30
32.37  49
33.07  100
40.50  15
46.42  30
52.77  15
58.17  44
59.50  23